Record 1
# Ba7Al4Sb9
Simulated powder XRD pattern, copper Kα. Input: a structure optimized by DFT (GGA-PBE).
No peak broadening, texture or thermal motion is included.

Top 12 peaks for 10° ≤ 2θ ≤ 90°, sorted by position:
2theta  I/Imax  (hkl)
24.5  29  0 0 2
25.3  100  2 4 0
26.4  9  0 2 2
28.6  17  0 3 2
29.9  22  2 1 2
31.1  25  3 3 1
32.8  26  4 0 0
35.5  37  2 4 2
39.1  16  0 8 0
41.4  8  4 0 2
45.7  13  2 7 2
51.9  9  4 8 0

Atomic structure:
```
data_Ba7Al4Sb9
_cell_length_a 10.934
_cell_length_b 18.436
_cell_length_c 7.259
_cell_angle_alpha 90.00
_cell_angle_beta 90.00
_cell_angle_gamma 90.00
_symmetry_space_group_name_H-M 'P m m n'
_symmetry_Int_Tables_number 59
loop_
_symmetry_equiv_pos_as_xyz
'x,y,z'
'-x,-y,-z'
'-x+1/2,-y+1/2,z'
'x+1/2,y+1/2,-z'
'x+1/2,-y,-z'
'-x+1/2,y,z'
'-x,y+1/2,-z'
'x,-y+1/2,z'
loop_
_atom_site_label
_atom_site_type_symbol
_atom_site_fract_x
_atom_site_fract_y
_atom_site_fract_z
Ba1 Ba 0.024 0.125 0.047
Ba2 Ba 0.250 0.034 0.545
Ba3 Ba 0.250 0.750 0.585
Al1 Al 0.073 0.250 0.560
Al2 Al 0.250 0.624 0.240
Sb1 Sb 0.040 0.619 0.452
Sb2 Sb 0.250 0.250 0.290
Sb3 Sb 0.250 0.250 0.833
Sb4 Sb 0.250 0.509 0.021
Sb5 Sb 0.250 0.750 0.047
```


Record 2
# Cs2Mn2Tc
Simulated powder XRD pattern, copper Kα. Input: a structure optimized by DFT (GGA-PBE).
No peak broadening, texture or thermal motion is included.

Top 12 peaks for 10° ≤ 2θ ≤ 90°, sorted by position:
2theta  I/Imax  (hkl)
20.3  33  2 1 0
25.7  19  2 2 0
28.1  20  0 0 1
28.8  94  3 1 0
32.9  36  3 2 0
33.7  24  2 0 1
34.9  100  2 1 1
40.7  34  3 1 1
43.9  19  3 2 1
55.9  26  5 1 1
58.5  17  5 2 1
60.9  18  4 4 1

Atomic structure:
```
data_Cs2Mn2Tc
_cell_length_a 9.804
_cell_length_b 9.804
_cell_length_c 3.170
_cell_angle_alpha 90.00
_cell_angle_beta 90.00
_cell_angle_gamma 90.00
_symmetry_space_group_name_H-M 'P 4/m b m'
_symmetry_Int_Tables_number 127
_symmetry_space_group_name_Hall '-P 4 2ab'
loop_
_atom_site_label
_atom_site_type_symbol
_atom_site_fract_x
_atom_site_fract_y
_atom_site_fract_z
Cs1 Cs 0.126 0.374 0.000
Mn1 Mn 0.183 0.683 0.500
Tc1 Tc 0.000 0.000 0.000
```


Record 3
# K4RbPt
Simulated powder XRD pattern, copper Kα. Input: a structure optimized by DFT (GGA-PBE).
No peak broadening, texture or thermal motion is included.

Top 12 peaks for 10° ≤ 2θ ≤ 90°, sorted by position:
2theta  I/Imax  (hkl)
10.7  100  1 1 0
15.1  23  1 1 -1
16.0  21  2 0 1
16.5  59  3 1 0
19.7  13  0 2 0
21.7  13  3 1 1
25.4  42  2 2 1
26.6  18  4 2 0
33.0  17  4 2 -2
36.4  13  7 1 -2
37.3  14  6 2 1
40.0  16  0 4 0

Atomic structure:
```
data_K4RbPt
_cell_length_a 20.533
_cell_length_b 9.034
_cell_length_c 7.808
_cell_angle_alpha 90.00
_cell_angle_beta 101.97
_cell_angle_gamma 90.00
_symmetry_space_group_name_H-M 'C 1 2/m 1'
_symmetry_Int_Tables_number 12
_symmetry_space_group_name_Hall '-C 2y'
loop_
_atom_site_label
_atom_site_type_symbol
_atom_site_fract_x
_atom_site_fract_y
_atom_site_fract_z
K1 K 0.000 0.215 0.000
K2 K 0.098 0.239 0.614
K3 K 0.172 0.000 0.246
Rb1 Rb 0.196 0.500 0.169
Pt1 Pt 0.022 0.000 0.351
```


Record 4
# Cs12Sn2As6O
Simulated powder XRD pattern, copper Kα. Input: a structure optimized by DFT (GGA-PBE).
No peak broadening, texture or thermal motion is included.

Top 12 peaks for 10° ≤ 2θ ≤ 90°, sorted by position:
2theta  I/Imax  (hkl)
21.5  9  2 0 1
25.0  13  3 0 0
27.4  32  0 0 2
28.6  100  3 0 1
29.0  7  2 2 0
37.5  10  0 3 2
44.1  24  3 3 0
49.2  21  3 0 3
52.7  26  3 3 2
53.4  15  0 6 1
71.6  10  6 3 1
74.4  9  3 3 4

Atomic structure:
```
data_Cs12Sn2As6O
_cell_length_a 12.3335
_cell_length_b 12.3335
_cell_length_c 6.4988
_cell_angle_alpha 90.00
_cell_angle_beta 90.00
_cell_angle_gamma 120.00
_symmetry_space_group_name_H-M 'P -3 m 1'
_symmetry_Int_Tables_number 164
_symmetry_space_group_name_Hall '-P 3 2"'
loop_
_atom_site_label
_atom_site_type_symbol
_atom_site_fract_x
_atom_site_fract_y
_atom_site_fract_z
Cs1 Cs 0.0909 0.5454 0.2518
Cs2 Cs 0.1166 0.2332 0.2288
Sn1 Sn 0.3333 0.6667 0.7527
As1 As 0.2125 0.4250 0.7512
O1 O 0.0000 0.0000 0.0000
```